# LaCd4In
Simulated powder diffractogram, Cu Kα, 1.54184 Å. Input: a structure optimized by DFT (GGA-PBE).

Atomic structure:
abc: 5.054 5.099 6.881
angles: 94.01 90.66 119.60
Space group P-1 (No. 2)
One atom of each set of equivalent atoms:
La  0.000  0.000  0.000 (multiplicity 1)
Cd  0.315  0.638  0.744 (multiplicity 2)
Cd  0.353  0.699  0.255 (multiplicity 2)
In  0.000  0.000  0.500 (multiplicity 1)

The 10 most intense peaks (2θ from 10° to 90°), in order of rising 2θ:
- 31.62 deg, I 31, hkl 0 1 -2
- 32.28 deg, I 32, hkl 1 0 -2
- 32.62 deg, I 31, hkl 1 -1 2
- 33.72 deg, I 27, hkl -1 1 2
- 34.04 deg, I 26, hkl 1 0 2
- 34.49 deg, I 25, hkl 0 1 2
- 35.28 deg, I 100, hkl 1 -2 0
- 35.53 deg, I 52, hkl 2 -1 0
- 53.47 deg, I 15, hkl 0 0 4
- 63.64 deg, I 21, hkl 3 -3 0

# LaCdIn6
Simulated powder diffractogram, Cu Kα, 1.54184 Å. Input: a structure optimized by DFT (GGA-PBE).

Atomic structure:
abc: 6.988 6.988 4.413
angles: 90.00 90.00 90.00
Space group P4/mmm (No. 123)
One atom of each set of equivalent atoms:
La  0.000  0.000  0.000 (multiplicity 1)
Cd  0.500  0.500  0.000 (multiplicity 1)
In  0.000  0.500  0.000 (multiplicity 2)
In  0.265  0.265  0.500 (multiplicity 4)

The 10 most intense peaks (2θ from 10° to 90°), in order of rising 2θ:
- 32.69 deg, I 100, hkl 2 0 1
- 36.36 deg, I 37, hkl 2 2 0
- 40.90 deg, I 14, hkl 0 0 2
- 52.37 deg, I 12, hkl 4 0 0
- 55.86 deg, I 21, hkl 2 2 2
- 63.12 deg, I 27, hkl 4 2 1
- 68.50 deg, I 11, hkl 4 0 2
- 69.30 deg, I 11, hkl 2 0 3
- 86.40 deg, I 5, hkl 6 0 1
- 88.49 deg, I 5, hkl 6 2 0

# La3Cd8In3
Simulated powder diffractogram, Cu Kα, 1.54184 Å. Input: a structure optimized by DFT (GGA-PBE).

Atomic structure:
abc: 4.841 10.771 14.044
angles: 90.00 90.00 90.00
Space group Immm (No. 71)
One atom of each set of equivalent atoms:
La  0.000  0.000  0.000 (multiplicity 2)
La  0.000  0.000  0.310 (multiplicity 4)
Cd  0.000  0.274  0.144 (multiplicity 8)
Cd  0.000  0.371  0.339 (multiplicity 8)
In  0.000  0.204  0.500 (multiplicity 4)
In  0.000  0.500  0.000 (multiplicity 2)

The 10 most intense peaks (2θ from 10° to 90°), in order of rising 2θ:
- 31.01 deg, I 17, hkl 1 3 0
- 31.35 deg, I 100, hkl 1 2 3
- 33.59 deg, I 19, hkl 1 3 2
- 37.14 deg, I 33, hkl 2 0 0
- 38.46 deg, I 21, hkl 0 0 6
- 38.80 deg, I 12, hkl 1 4 1
- 40.48 deg, I 10, hkl 1 3 4
- 54.54 deg, I 15, hkl 2 0 6
- 60.66 deg, I 11, hkl 1 4 7
- 63.36 deg, I 13, hkl 3 2 3

# La3CdIn2
Simulated powder diffractogram, Cu Kα, 1.54184 Å. Input: a structure optimized by DFT (GGA-PBE).

Atomic structure:
abc: 3.890 3.890 12.226
angles: 90.00 90.00 90.00
Space group P4/mmm (No. 123)
One atom of each set of equivalent atoms:
La  0.000  0.000  0.000 (multiplicity 1)
La  0.000  0.000  0.335 (multiplicity 2)
Cd  0.500  0.500  0.500 (multiplicity 1)
In  0.500  0.500  0.171 (multiplicity 2)

The 10 most intense peaks (2θ from 10° to 90°), in order of rising 2θ:
- 31.80 deg, I 100, hkl 1 0 3
- 32.55 deg, I 47, hkl 1 1 0
- 44.46 deg, I 10, hkl 0 0 6
- 46.70 deg, I 17, hkl 2 0 0
- 56.18 deg, I 19, hkl 1 1 6
- 57.61 deg, I 36, hkl 2 1 3
- 66.45 deg, I 11, hkl 2 0 6
- 73.90 deg, I 8, hkl 1 0 9
- 77.21 deg, I 7, hkl 3 0 3
- 77.62 deg, I 7, hkl 3 1 0